(1)
# Mn6O5F7
Theoretical powder X-ray diffraction pattern, Cu Ka. Input: a structure optimized by DFT (GGA+U).

Peak list (10 most intense, 10 to 90 degrees two-theta, in order of rising 2θ)
h k l, 2theta, I/Imax
1 -1 0, 24.52, 1000
1 1 -3, 29.83, 484
-1 1 3, 29.99, 969
1 1 3, 30.20, 478
0 0 6, 34.43, 202
0 2 -3, 35.67, 207
1 -2 3, 40.66, 205
2 0 -6, 52.25, 230
2 0 6, 52.63, 225
2 2 -3, 53.26, 183

Structural model:
a = 4.701 Å, b = 5.714 Å, c = 15.629 Å
α = 90.67°, β = 90.39°, γ = 90.06°
Space group P1 (No. 1)
Unique sites:
Mn 0.000 0.000 0.000 x1
Mn 0.000 0.015 0.339 x1
Mn 0.014 0.325 0.175 x1
Mn 0.469 0.535 0.018 x1
Mn 0.497 0.829 0.188 x1
Mn 0.508 0.825 0.846 x1
Mn 0.510 0.831 0.520 x1
Mn 0.516 0.512 0.348 x1
Mn 0.520 0.517 0.680 x1
Mn 0.952 0.013 0.678 x1
Mn 0.955 0.330 0.512 x1
Mn 0.974 0.308 0.840 x1
O 0.277 0.565 0.128 x1
O 0.285 0.796 0.953 x1
O 0.301 0.783 0.296 x1
O 0.709 0.573 0.573 x1
O 0.710 0.771 0.739 x1
O 0.765 0.064 0.570 x1
O 0.772 0.274 0.734 x1
O 0.778 0.277 0.396 x1
O 0.782 0.049 0.896 x1
O 0.798 0.057 0.230 x1
F 0.225 0.037 0.779 x1
F 0.226 0.296 0.944 x1
F 0.231 0.792 0.628 x1
F 0.236 0.050 0.455 x1
F 0.236 0.069 0.109 x1
F 0.238 0.299 0.622 x1
F 0.263 0.562 0.462 x1
F 0.270 0.536 0.790 x1
F 0.271 0.284 0.286 x1
F 0.731 0.551 0.912 x1
F 0.732 0.798 0.079 x1
F 0.751 0.764 0.406 x1
F 0.767 0.283 0.059 x1
F 0.769 0.553 0.238 x1

***

(2)
# CrNi5P6O24
Theoretical powder X-ray diffraction pattern, Cu Ka. Input: a structure optimized by DFT (GGA+U).

Peak list (10 most intense, 10 to 90 degrees two-theta, in order of rising 2θ)
h k l, 2theta, I/Imax
1 1 0, 20.63, 1000
2 -1 3, 24.42, 977
2 0 2, 25.42, 196
1 1 6, 33.44, 706
3 0 0, 36.14, 463
1 2 8, 47.92, 391
2 2 6, 50.05, 275
1 4 0, 56.57, 274
3 1 8, 57.19, 194
4 1 6, 63.28, 218

Structural model:
a = 8.6092 Å, b = 8.6092 Å, c = 20.5477 Å
α = 90.00°, β = 90.00°, γ = 120.00°
Space group R3 (No. 146, hexagonal axes)
Unique sites:
Cr 0.0000 0.0000 0.0000 x3
Ni 0.0000 0.0000 0.1429 x3
Ni 0.0000 0.0000 0.2837 x3
Ni 0.0000 0.0000 0.5010 x3
Ni 0.0000 0.0000 0.6420 x3
Ni 0.0000 0.0000 0.7832 x3
P 0.9998 0.2943 0.8916 x9
P 0.0002 0.7035 0.3917 x9
O 0.0022 0.7977 0.4541 x9
O 0.0091 0.8346 0.0653 x9
O 0.0146 0.1973 0.9529 x9
O 0.0213 0.1868 0.5710 x9
O 0.1342 0.6737 0.9957 x9
O 0.1390 0.4606 0.4957 x9
O 0.1652 0.6775 0.3817 x9
O 0.1670 0.4835 0.8823 x9

***

(3)
# AlV2O4
Theoretical powder X-ray diffraction pattern, Cu Ka. Input: a structure optimized by DFT (GGA+U).

Peak list (10 most intense, 10 to 90 degrees two-theta, in order of rising 2θ)
h k l, 2theta, I/Imax
1 0 0, 18.22, 460
0 1 1, 18.41, 572
1 0 -1, 34.97, 509
1 0 2, 35.28, 481
1 -2 0, 35.53, 701
2 -1 0, 35.71, 707
2 1 2, 35.82, 486
0 0 2, 42.51, 539
2 2 2, 43.44, 1000
2 2 4, 62.97, 542

Structural model:
a = 5.881 Å, b = 5.903 Å, c = 5.908 Å
α = 60.62°, β = 60.58°, γ = 89.98°
Space group P-1 (No. 2)
Unique sites:
Al 0.122 0.379 0.250 x2
V 0.000 0.000 0.000 x1
V 0.500 0.000 0.000 x1
V 0.500 0.000 0.500 x1
V 0.500 0.500 0.500 x1
O 0.243 0.747 0.004 x2
O 0.244 0.253 0.001 x2
O 0.247 0.742 0.502 x2
O 0.248 0.257 0.499 x2

***

(4)
# KMg6WO8
Theoretical powder X-ray diffraction pattern, Cu Ka. Input: a structure optimized by DFT (GGA+U).

Peak list (10 most intense, 10 to 90 degrees two-theta, in order of rising 2θ)
h k l, 2theta, I/Imax
0 0 2, 19.82, 714
1 0 1, 22.19, 493
1 0 2, 28.17, 607
0 0 3, 29.92, 355
1 1 2, 34.68, 469
2 0 0, 40.27, 1000
2 0 2, 45.27, 332
1 1 4, 49.86, 256
2 2 0, 58.26, 601
3 1 2, 69.61, 222

Structural model:
a = 4.477 Å, b = 4.477 Å, c = 8.968 Å
α = 90.00°, β = 90.00°, γ = 90.00°
Space group P4/mmm (No. 123)
Unique sites:
K 0.000 0.000 0.000 x1
Mg 0.000 0.500 0.234 x4
Mg 0.500 0.500 0.000 x1
Mg 0.500 0.500 0.500 x1
W 0.000 0.000 0.500 x1
O 0.000 0.000 0.267 x2
O 0.000 0.500 0.000 x2
O 0.000 0.500 0.500 x2
O 0.500 0.500 0.255 x2

***

(5)
# MgMn6O8F4
Theoretical powder X-ray diffraction pattern, Cu Ka. Input: a structure optimized by DFT (GGA+U).

Peak list (10 most intense, 10 to 90 degrees two-theta, in order of rising 2θ)
h k l, 2theta, I/Imax
-1 1 1, 22.91, 1000
1 1 -1, 27.83, 720
1 0 2, 34.69, 474
1 -2 2, 34.79, 223
2 -1 1, 35.33, 164
-1 2 1, 37.00, 158
-2 2 2, 46.81, 172
2 -3 1, 48.48, 153
3 -2 0, 49.36, 159
1 2 -4, 53.87, 149

Structural model:
a = 5.750 Å, b = 5.918 Å, c = 7.876 Å
α = 106.72°, β = 98.51°, γ = 113.31°
Space group P1 (No. 1)
Unique sites:
Mg 0.000 0.000 0.000 x1
Mn 0.009 0.029 0.523 x1
Mn 0.030 0.499 0.995 x1
Mn 0.338 0.534 0.359 x1
Mn 0.367 0.018 0.823 x1
Mn 0.656 0.038 0.207 x1
Mn 0.696 0.468 0.637 x1
O 0.055 0.708 0.834 x1
O 0.131 0.173 0.817 x1
O 0.319 0.321 0.511 x1
O 0.374 0.707 0.181 x1
O 0.672 0.308 0.824 x1
O 0.708 0.701 0.503 x1
O 0.789 0.184 0.466 x1
O 0.975 0.312 0.172 x1
F 0.227 0.830 0.530 x1
F 0.401 0.182 0.129 x1
F 0.598 0.867 0.911 x1
F 0.916 0.831 0.180 x1

***

(6)
# Na3Li3Fe2P2C2O14
Theoretical powder X-ray diffraction pattern, Cu Ka. Input: a structure optimized by DFT (GGA+U).

Peak list (10 most intense, 10 to 90 degrees two-theta, in order of rising 2θ)
h k l, 2theta, I/Imax
0 0 1, 10.22, 1000
1 0 -1, 20.79, 218
1 1 -1, 24.62, 190
0 2 0, 26.27, 689
1 0 2, 26.45, 276
0 2 2, 33.32, 178
0 2 -2, 33.76, 388
2 0 0, 35.55, 338
2 0 1, 36.57, 185
0 4 0, 54.07, 202

Structural model:
a = 5.057 Å, b = 6.786 Å, c = 8.669 Å
α = 89.15°, β = 87.17°, γ = 89.40°
Space group P1 (No. 1)
Unique sites:
Na 0.000 0.000 0.000 x1
Na 0.000 0.493 0.000 x1
Na 0.507 0.997 0.519 x1
Li 0.006 0.730 0.356 x1
Li 0.494 0.260 0.169 x1
Li 0.497 0.519 0.539 x1
Fe 0.038 0.255 0.607 x1
Fe 0.480 0.746 0.910 x1
P 0.545 0.252 0.851 x1
P 0.972 0.745 0.664 x1
C 0.528 0.736 0.219 x1
C 0.964 0.250 0.310 x1
O 0.029 0.934 0.566 x1
O 0.083 0.572 0.563 x1
O 0.097 0.748 0.823 x1
O 0.212 0.245 0.342 x1
O 0.282 0.741 0.183 x1
O 0.419 0.269 0.691 x1
O 0.460 0.063 0.943 x1
O 0.465 0.427 0.959 x1
O 0.598 0.720 0.360 x1
O 0.665 0.721 0.691 x1
O 0.712 0.746 0.107 x1
O 0.782 0.264 0.422 x1
O 0.853 0.249 0.822 x1
O 0.891 0.243 0.169 x1

***

(7)
# K12Mo4S11Cl4O5
Theoretical powder X-ray diffraction pattern, Cu Ka. Input: a structure optimized by DFT (GGA+U).

Peak list (10 most intense, 10 to 90 degrees two-theta, in order of rising 2θ)
h k l, 2theta, I/Imax
1 0 0, 13.94, 640
0 2 0, 14.08, 250
1 -2 0, 19.73, 425
1 0 2, 19.86, 554
1 2 0, 19.96, 217
1 2 -2, 24.35, 421
0 0 4, 28.10, 1000
0 4 0, 28.38, 755
0 1 -4, 28.98, 231
0 4 -4, 40.35, 427

Structural model:
a = 6.353 Å, b = 12.579 Å, c = 12.703 Å
α = 90.01°, β = 90.44°, γ = 90.55°
Space group P1 (No. 1)
Unique sites:
K 0.000 0.000 0.000 x1
K 0.000 0.499 0.908 x1
K 0.367 0.745 0.437 x1
K 0.369 0.245 0.473 x1
K 0.385 0.508 0.184 x1
K 0.389 0.012 0.724 x1
K 0.543 0.508 0.683 x1
K 0.544 0.008 0.225 x1
K 0.561 0.245 0.972 x1
K 0.562 0.745 0.937 x1
K 0.929 0.499 0.409 x1
K 0.930 0.000 0.500 x1
Mo 0.961 0.248 0.706 x1
Mo 0.963 0.752 0.199 x1
Mo 0.966 0.752 0.699 x1
Mo 0.967 0.252 0.210 x1
S 0.038 0.415 0.656 x1
S 0.045 0.916 0.252 x1
S 0.054 0.231 0.876 x1
S 0.059 0.732 0.032 x1
S 0.314 0.235 0.200 x1
S 0.314 0.735 0.709 x1
S 0.615 0.735 0.208 x1
S 0.869 0.232 0.376 x1
S 0.869 0.732 0.532 x1
S 0.885 0.416 0.156 x1
S 0.885 0.916 0.752 x1
Cl 0.440 0.492 0.436 x1
Cl 0.441 0.993 0.473 x1
Cl 0.489 0.993 0.972 x1
Cl 0.490 0.492 0.935 x1
O 0.092 0.658 0.279 x1
O 0.107 0.157 0.628 x1
O 0.686 0.225 0.692 x1
O 0.836 0.157 0.129 x1
O 0.837 0.658 0.779 x1